Structure and theoretical powder X-ray diffraction pattern of MgTl8In4 (the PBE geometry in Alexandria; Cu Kα X-rays).

```
data_MgTl8In4
_symmetry_space_group_name_H-M 'C 1 m 1'
_symmetry_Int_Tables_number 8
_cell_length_a 12.886
_cell_length_b 3.414
_cell_length_c 18.250
_cell_angle_alpha 90.00
_cell_angle_beta 108.61
_cell_angle_gamma 90.00
loop_
_symmetry_equiv_pos_as_xyz
'x,y,z'
'x,-y,z'
'x+1/2,y+1/2,z'
'x+1/2,-y+1/2,z'
loop_
_atom_site_label
_atom_site_fract_x
_atom_site_fract_y
_atom_site_fract_z
_atom_site_occupancy
Mg1 0.000 0.000 0.000 1
Tl1 0.035 0.500 0.864 1
Tl2 0.133 0.500 0.564 1
Tl3 0.169 0.000 0.404 1
Tl4 0.214 0.500 0.244 1
Tl5 0.280 0.000 0.916 1
Tl6 0.308 0.500 0.749 1
Tl7 0.410 0.500 0.442 1
Tl8 0.446 0.000 0.126 1
In1 0.070 0.000 0.716 1
In2 0.214 0.500 0.064 1
In3 0.372 0.000 0.595 1
In4 0.453 0.000 0.294 1
```

Top 6 peaks for 2θ from 5° to 70°, most intense first:
d/Å	Position (°2θ)	I_rel
2.855	31.33	100.0
2.515	35.70	95.5
2.659	33.70	93.3
3.003	29.75	76.9
2.590	34.63	48.0
2.756	32.49	46.0